Entry 1:
Structure and computed XRD peak list of ScH4Pd2 (a DFT-relaxed cell (PBE, Alexandria); Cu Kα).

Largest 6 diffraction maxima, by angle, 2θ = 10–90°:
19.3°, I = 72.6; 35.8°, I = 100.0; 39.1°, I = 94.4; 40.5°, I = 37.4; 56.9°, I = 26.0; 75.8°, I = 26.5

Crystal structure
Lattice parameters (Å, degrees): 5.557 5.557 5.557 114.83 114.83 99.21
Sites, in units of the cell vectors:
Sc1 0.375 0.625 0.750
Sc2 0.625 0.375 0.250
H1 0.071 0.662 0.409
H2 0.247 0.338 0.909
H3 0.338 0.247 0.409
H4 0.338 0.929 0.091
H5 0.662 0.071 0.909
H6 0.662 0.753 0.591
H7 0.753 0.662 0.091
H8 0.929 0.338 0.591
Pd1 0.000 0.000 0.000
Pd2 0.000 0.000 0.500
Pd3 0.000 0.500 0.000
Pd4 0.500 0.000 0.500

Entry 2:
Structure and computed XRD peak list of ScH4Pd4 (a DFT-relaxed cell (PBE, Alexandria); Cu Kα).

Largest 6 diffraction maxima, by angle, 2θ = 10–90°:
37.4°, I = 100.0; 42.5°, I = 36.4; 45.4°, I = 14.6; 61.6°, I = 11.1; 63.9°, I = 20.8; 74.4°, I = 24.8

Crystal structure
Lattice parameters (Å, degrees): 5.160 5.160 5.160 98.61 98.61 134.47
Sites, in units of the cell vectors:
Sc1 0.000 0.000 0.000
H1 0.143 0.326 0.469
H2 0.326 0.857 0.183
H3 0.674 0.143 0.817
H4 0.857 0.674 0.531
Pd1 0.206 0.604 0.810
Pd2 0.396 0.206 0.602
Pd3 0.604 0.794 0.398
Pd4 0.794 0.396 0.190

Entry 3:
Structure and computed XRD peak list of ScH5Pd4 (a DFT-relaxed cell (PBE, Alexandria); Cu Kα).

Largest 6 diffraction maxima, by angle, 2θ = 10–90°:
29.3°, I = 92.0; 38.0°, I = 78.5; 39.0°, I = 100.0; 39.7°, I = 69.9; 40.3°, I = 63.0; 62.5°, I = 40.7

Crystal structure
Lattice parameters (Å, degrees): 5.435 7.864 4.831 90.00 90.00 90.00
Sites, in units of the cell vectors:
Sc1 0.250 0.250 0.164
Sc2 0.750 0.750 0.836
H1 0.038 0.545 0.211
H2 0.038 0.955 0.211
H3 0.250 0.750 0.652
H4 0.462 0.545 0.211
H5 0.462 0.955 0.211
H6 0.538 0.045 0.789
H7 0.538 0.455 0.789
H8 0.750 0.250 0.348
H9 0.962 0.045 0.789
H10 0.962 0.455 0.789
Pd1 0.004 0.750 0.372
Pd2 0.250 0.556 0.893
Pd3 0.250 0.944 0.893
Pd4 0.496 0.750 0.372
Pd5 0.504 0.250 0.628
Pd6 0.750 0.056 0.107
Pd7 0.750 0.444 0.107
Pd8 0.996 0.250 0.628

Entry 4:
Structure and computed XRD peak list of ScH6Pd7 (a DFT-relaxed cell (PBE, Alexandria); Cu Kα).

Largest 6 diffraction maxima, by angle, 2θ = 10–90°:
12.7°, I = 16.7; 38.0°, I = 100.0; 38.7°, I = 30.1; 44.3°, I = 43.7; 44.4°, I = 20.8; 64.1°, I = 20.3

Crystal structure
Lattice parameters (Å, degrees): 5.034 5.034 7.554 90.08 109.33 119.94
Sites, in units of the cell vectors:
Sc1 0.000 0.000 0.000
H1 0.146 0.730 0.220
H2 0.199 0.924 0.783
H3 0.491 0.415 0.220
H4 0.507 0.583 0.784
H5 0.805 0.076 0.220
H6 0.858 0.276 0.784
Pd1 0.111 0.223 0.673
Pd2 0.225 0.443 0.330
Pd3 0.450 0.888 0.673
Pd4 0.549 0.105 0.330
Pd5 0.668 0.335 0.002
Pd6 0.784 0.562 0.673
Pd7 0.887 0.782 0.330

Entry 5:
Structure and computed XRD peak list of ScH6Pd8 (a DFT-relaxed cell (PBE, Alexandria); Cu Kα).

Largest 6 diffraction maxima, by angle, 2θ = 10–90°:
38.1°, I = 100.0; 39.3°, I = 96.9; 55.9°, I = 30.4; 68.2°, I = 11.1; 70.5°, I = 27.2; 71.3°, I = 14.1

Crystal structure
Lattice parameters (Å, degrees): 7.939 7.939 2.934 90.00 90.00 120.00
Sites, in units of the cell vectors:
Sc1 0.000 0.000 0.000
H1 0.150 0.709 0.197
H2 0.291 0.441 0.197
H3 0.441 0.150 0.803
H4 0.559 0.850 0.197
H5 0.709 0.559 0.803
H6 0.850 0.291 0.803
Pd1 0.020 0.334 0.301
Pd2 0.314 0.980 0.301
Pd3 0.333 0.667 0.883
Pd4 0.334 0.314 0.699
Pd5 0.666 0.686 0.301
Pd6 0.667 0.333 0.117
Pd7 0.686 0.020 0.699
Pd8 0.980 0.666 0.699

Entry 6:
Structure and computed XRD peak list of ScHPd (a DFT-relaxed cell (PBE, Alexandria); Cu Kα).

Largest 6 diffraction maxima, by angle, 2θ = 10–90°:
27.1°, I = 20.9; 37.0°, I = 100.0; 38.7°, I = 45.4; 55.9°, I = 14.8; 65.4°, I = 17.9; 68.9°, I = 30.1

Crystal structure
Lattice parameters (Å, degrees): 3.290 3.290 3.610 90.00 90.00 90.00
Sites, in units of the cell vectors:
Sc1 0.000 0.000 0.000
H1 0.500 0.500 0.000
Pd1 0.500 0.500 0.500